The following is a computed X-ray diffraction stick pattern of BiTe. It was derived from the GGA-PBE geometry in the Materials Project, using Cu Kα (weighted mean of Kα1 and Kα2).
Neutral-atom scattering factors, no anomalous dispersion.

a = 4.4809 Å, b = 4.4809 Å, c = 24.9575 Å
α = 90.00°, β = 90.00°, γ = 120.00°
Positions (direct):
Bi  0.0000  0.0000  0.1287
Bi  0.0000  0.0000  0.8713
Bi  0.3333  0.6667  0.2910
Bi  0.3333  0.6667  0.5336
Bi  0.6667  0.3333  0.4664
Bi  0.6667  0.3333  0.7090
Te  0.0000  0.0000  0.3601
Te  0.0000  0.0000  0.6399
Te  0.3333  0.6667  0.0607
Te  0.3333  0.6667  0.7897
Te  0.6667  0.3333  0.2103
Te  0.6667  0.3333  0.9393

Most intense lines, 2θ from 5° to 70°, in order of rising 2θ:
4.991 Å, 2θ = 17.77°, I = 9.1, (0 0 5)
3.295 Å, 2θ = 27.06°, I = 100.0, (1 0 4)
2.431 Å, 2θ = 36.97°, I = 37.5, (0 1 8)
2.256 Å, 2θ = 39.96°, I = 7.4, (1 0 9)
2.240 Å, 2θ = 40.25°, I = 37.3, (1 1 0)
2.080 Å, 2θ = 43.51°, I = 6.0, (0 0 12)
1.853 Å, 2θ = 49.18°, I = 19.9, (0 2 4)
1.648 Å, 2θ = 55.80°, I = 11.6, (2 0 8)
1.524 Å, 2θ = 60.76°, I = 13.6, (1 1 12)
1.428 Å, 2θ = 65.36°, I = 17.2, (2 1 4)